TmZn2GaNi2: theoretical powder diffraction line list (CuKα), based on the PBE geometry in Alexandria.

Main lines, low angle first (2θ from 15° to 90°):
| 2theta | I/Imax |
| --- | --- |
| 20.30 | 17 |
| 28.87 | 48 |
| 33.28 | 57 |
| 38.83 | 100 |
| 41.28 | 76 |
| 57.96 | 61 |
| 59.80 | 24 |
| 73.62 | 15 |
| 83.35 | 18 |
| 88.08 | 19 |

Structural model:
```
TmZn2GaNi2
1.0
4.374 0.000 0.000
0.000 4.374 0.000
0.000 0.000 5.470
Tm Zn Ga Ni
1 2 1 2
Direct
0.000 0.000 0.000
0.500 0.500 0.240
0.500 0.500 0.760
0.000 0.000 0.500
0.000 0.500 0.500
0.500 0.000 0.500
```



UGa4Ni4: theoretical powder diffraction line list (CuKα), based on the PBE geometry in Alexandria.

Main lines, low angle first (2θ from 15° to 90°):
| 2theta | I/Imax |
| --- | --- |
| 22.51 | 89 |
| 31.39 | 35 |
| 31.72 | 70 |
| 35.21 | 100 |
| 39.79 | 55 |
| 45.23 | 80 |
| 50.87 | 61 |
| 51.53 | 18 |
| 54.16 | 58 |
| 83.17 | 21 |

Structural model:
```
UGa4Ni4
1.0
-4.030 4.030 2.265
4.030 -4.030 2.265
4.030 4.030 -2.265
U Ga Ni
1 4 4
Direct
0.000 0.000 0.000
0.134 0.594 0.728
0.406 0.134 0.540
0.594 0.866 0.460
0.866 0.406 0.272
0.163 0.286 0.449
0.286 0.837 0.124
0.714 0.163 0.876
0.837 0.714 0.551
```